Record 1
# Pr2Zr2O7
Theoretical XRD peak list, Cu Kα (λ = 1.5418 Å). Input: a DFT-relaxed cell (PBE, OQMD).

Structure:
Unit cell a=10.7413 b=10.7413 c=10.7413 alpha=90.00 beta=90.00 gamma=90.00
Space group Fd-3m (No. 227, origin choice 2)
Inequivalent atoms, fractional coordinates:
Pr 0.0000 0.0000 0.0000 (multiplicity 16)
Zr 0.0000 0.0000 0.5000 (multiplicity 16)
O 0.0852 0.3750 0.8750 (multiplicity 48)
O 0.1250 0.1250 0.1250 (multiplicity 8)

Largest 10 diffraction maxima, in order of rising 2θ, 2θ from 10° to 80°:
2theta, I_rel
14.3, 38
28.8, 1000
33.4, 309
36.5, 54
47.9, 492
56.9, 433
59.6, 96
70.1, 70
77.5, 172
79.9, 134


Record 2
# Tb2Ge2O5
Theoretical XRD peak list, Cu Kα (λ = 1.5418 Å). Input: a DFT-relaxed cell (PBE, OQMD).

Structure:
Unit cell a=4.0652 b=4.0652 c=6.6230 alpha=90.00 beta=90.00 gamma=90.00
Space group P4/mmm (No. 123)
Inequivalent atoms, fractional coordinates:
Tb 0.0000 0.0000 0.0000 (multiplicity 1)
Tb 0.0000 0.0000 0.5000 (multiplicity 1)
Ge 0.5000 0.5000 0.2149 (multiplicity 2)
O 0.0000 0.5000 0.2345 (multiplicity 4)
O 0.5000 0.5000 0.5000 (multiplicity 1)

Largest 10 diffraction maxima, in order of rising 2θ, 2θ from 10° to 80°:
2theta, I_rel
21.9, 181
31.1, 618
34.9, 1000
41.6, 215
44.6, 394
57.9, 473
64.9, 122
65.0, 123
73.7, 111
73.8, 130


Record 3
# Hf3As4Pt4
Theoretical XRD peak list, Cu Kα (λ = 1.5418 Å). Input: a DFT-relaxed cell (PBE, OQMD).

Structure:
Unit cell a=6.6340 b=4.0322 c=7.6148 alpha=90.00 beta=92.57 gamma=90.00
Space group Pm (No. 6)
Inequivalent atoms, fractional coordinates:
Hf 0.0000 0.0000 0.0000 (multiplicity 1)
Hf 0.0518 0.5000 0.3834 (multiplicity 1)
Hf 0.5056 0.0000 0.8902 (multiplicity 1)
As 0.3039 0.5000 0.0663 (multiplicity 1)
As 0.3080 0.0000 0.5844 (multiplicity 1)
As 0.7267 0.0000 0.3212 (multiplicity 1)
As 0.7469 0.5000 0.7803 (multiplicity 1)
Pt 0.1653 0.5000 0.7521 (multiplicity 1)
Pt 0.3278 0.0000 0.2676 (multiplicity 1)
Pt 0.7461 0.5000 0.1191 (multiplicity 1)
Pt 0.8962 0.0000 0.6278 (multiplicity 1)

Largest 10 diffraction maxima, in order of rising 2θ, 2θ from 10° to 80°:
2theta, I_rel
13.4, 324
28.2, 394
34.7, 493
35.1, 592
35.6, 247
36.6, 966
36.8, 381
37.4, 331
42.1, 1000
44.9, 758


Record 4
# Cd2Co2As3P
Theoretical XRD peak list, Cu Kα (λ = 1.5418 Å). Input: a DFT-relaxed cell (PBE, OQMD).

Structure:
Unit cell a=12.1428 b=5.6261 c=5.8046 alpha=90.00 beta=117.94 gamma=90.00
Space group C2 (No. 5)
Inequivalent atoms, fractional coordinates:
Cd 0.1188 0.0000 0.3579 (multiplicity 4)
Co 0.1203 0.4769 0.8755 (multiplicity 4)
As 0.0000 0.6624 0.5000 (multiplicity 2)
As 0.2504 0.2292 0.8215 (multiplicity 4)
P 0.0000 0.3214 0.0000 (multiplicity 2)

Largest 10 diffraction maxima, in order of rising 2θ, 2θ from 10° to 80°:
2theta, I_rel
27.5, 779
27.7, 1000
35.7, 148
36.5, 136
44.9, 330
45.8, 180
46.3, 181
46.8, 357
54.1, 146
56.1, 134


Record 5
# Ta6SnSb
Theoretical XRD peak list, Cu Kα (λ = 1.5418 Å). Input: a DFT-relaxed cell (PBE, OQMD).

Structure:
Unit cell a=5.3085 b=5.3085 c=5.3085 alpha=90.00 beta=90.00 gamma=90.00
Space group Pm-3 (No. 200)
Inequivalent atoms, fractional coordinates:
Ta 0.0000 0.2491 0.5000 (multiplicity 6)
Sn 0.5000 0.5000 0.5000 (multiplicity 1)
Sb 0.0000 0.0000 0.0000 (multiplicity 1)

Largest 10 diffraction maxima, in order of rising 2θ, 2θ from 10° to 80°:
2theta, I_rel
23.7, 42
33.8, 241
37.9, 1000
41.7, 543
48.5, 6
54.7, 9
60.4, 117
63.2, 228
65.8, 284
71.0, 137


Record 6
# Tl3Pd2Pb
Theoretical XRD peak list, Cu Kα (λ = 1.5418 Å). Input: a DFT-relaxed cell (PBE, OQMD).

Structure:
Unit cell a=5.9040 b=9.6680 c=9.7393 alpha=90.00 beta=90.00 gamma=90.00
Space group Fmm2 (No. 42)
Inequivalent atoms, fractional coordinates:
Tl 0.0000 0.0000 0.0000 (multiplicity 4)
Tl 0.0000 0.1648 0.6636 (multiplicity 8)
Pd 0.2500 0.2500 0.4142 (multiplicity 8)
Pb 0.0000 0.0000 0.3253 (multiplicity 4)

Largest 10 diffraction maxima, in order of rising 2θ, 2θ from 10° to 80°:
2theta, I_rel
30.3, 286
32.8, 1000
33.0, 997
35.6, 407
40.3, 547
41.5, 298
41.7, 269
55.4, 232
55.5, 233
65.6, 194


Record 7
# CuAg
Theoretical XRD peak list, Cu Kα (λ = 1.5418 Å). Input: a DFT-relaxed cell (PBE, OQMD).

Structure:
Unit cell a=22.3688 b=2.8307 c=4.7559 alpha=90.00 beta=96.13 gamma=90.00
Space group Cm (No. 8)
Inequivalent atoms, fractional coordinates:
Cu 0.0000 0.0000 0.0000 (multiplicity 2)
Cu 0.0045 0.5000 0.5396 (multiplicity 2)
Cu 0.0970 0.0000 0.7226 (multiplicity 2)
Cu 0.1917 0.5000 0.9206 (multiplicity 2)
Cu 0.2988 0.5000 0.6159 (multiplicity 2)
Ag 0.0942 0.5000 0.2159 (multiplicity 2)
Ag 0.1990 0.0000 0.4414 (multiplicity 2)
Ag 0.2942 0.0000 0.1060 (multiplicity 2)
Ag 0.3996 0.0000 0.8143 (multiplicity 2)
Ag 0.4057 0.5000 0.3203 (multiplicity 2)

Largest 10 diffraction maxima, in order of rising 2θ, 2θ from 10° to 80°:
2theta, I_rel
39.7, 1000
39.8, 505
40.6, 444
45.8, 643
47.8, 274
66.0, 103
67.4, 93
67.8, 181
68.8, 157
79.9, 118